Record 1
Sr3As4: theoretical powder diffractogram (Cu Ka), based on a DFT-relaxed cell (PBE, the Materials Project).

Atomic structure:
abc: 6.0428 8.0902 9.5254
angles: 83.20 71.51 68.07
Space group P1 (No. 1)
One atom of each set of equivalent atoms:
Sr  0.0000  0.0000  0.0000
Sr  0.0624  0.4927  0.8306
Sr  0.2936  0.0094  0.3257
Sr  0.3786  0.5056  0.1657
Sr  0.6457  0.9960  0.6560
Sr  0.7551  0.5055  0.4939
As  0.0692  0.1665  0.6558
As  0.1556  0.6799  0.5019
As  0.3462  0.3261  0.4858
As  0.4203  0.1738  0.9932
As  0.4654  0.6702  0.8356
As  0.5834  0.8308  0.9945
As  0.8847  0.8321  0.3389
As  0.9801  0.3339  0.1500

Main lines, in order of rising 2θ (15 to 90 degrees two-theta):
(1 0 0), 16.56 deg, rel. 141; (1 2 2), 27.48 deg, rel. 343; (0 1 -3), 31.98 deg, rel. 1000; (-1 2 1), 36.60 deg, rel. 604; (2 1 4), 42.38 deg, rel. 430; (1 -3 2), 47.46 deg, rel. 257; (3 4 3), 57.16 deg, rel. 150; (1 3 5), 57.28 deg, rel. 157; (1 -3 5), 65.54 deg, rel. 103; (0 5 3), 70.02 deg, rel. 120

Record 2
Sr5As3: theoretical powder diffractogram (Cu Ka), based on a DFT-relaxed cell (PBE, the Materials Project).

Atomic structure:
abc: 9.0472 9.0472 7.3045
angles: 90.00 90.00 120.00
Space group P6_3/mcm (No. 193)
One atom of each set of equivalent atoms:
Sr  0.0000  0.2551  0.2500
Sr  0.3333  0.6667  0.0000
As  0.0000  0.3912  0.7500

Main lines, in order of rising 2θ (15 to 90 degrees two-theta):
(0 0 2), 24.37 deg, rel. 236; (1 0 2), 26.93 deg, rel. 175; (2 1 0), 30.18 deg, rel. 256; (1 1 2), 31.48 deg, rel. 1000; (2 1 1), 32.63 deg, rel. 916; (3 0 0), 34.34 deg, rel. 523; (3 1 1), 43.45 deg, rel. 147; (2 2 2), 47.27 deg, rel. 210; (2 1 3), 48.40 deg, rel. 298; (3 0 4), 62.01 deg, rel. 184

Record 3
SrAs: theoretical powder diffractogram (Cu Ka), based on a DFT-relaxed cell (PBE, the Materials Project).

Atomic structure:
abc: 8.3633 8.3633 6.2244
angles: 90.00 90.00 120.00
Space group P-62m (No. 189)
One atom of each set of equivalent atoms:
Sr  0.0000  0.3525  0.0000
Sr  0.0000  0.6868  0.5000
As  0.0000  0.0000  0.2039
As  0.3333  0.6667  0.2909

Main lines, in order of rising 2θ (15 to 90 degrees two-theta):
(1 1 0), 21.25 deg, rel. 165; (1 1 1), 25.66 deg, rel. 1000; (1 1 2), 35.97 deg, rel. 873; (3 0 0), 37.24 deg, rel. 856; (2 2 1), 45.78 deg, rel. 187; (1 1 3), 49.01 deg, rel. 175; (2 2 2), 52.74 deg, rel. 276; (4 1 1), 60.43 deg, rel. 148; (4 1 2), 66.32 deg, rel. 287; (3 0 4), 72.23 deg, rel. 136

Record 4
SrZn2As2: theoretical powder diffractogram (Cu Ka), based on a DFT-relaxed cell (PBE, the Materials Project).

Atomic structure:
abc: 4.2659 4.2659 7.3193
angles: 90.00 90.00 120.00
Space group P-3m1 (No. 164)
One atom of each set of equivalent atoms:
Sr  0.0000  0.0000  0.0000
Zn  0.3333  0.6667  0.3706
As  0.3333  0.6667  0.7294

Main lines, in order of rising 2θ (15 to 90 degrees two-theta):
(1 0 1), 27.04 deg, rel. 1000; (1 0 2), 34.50 deg, rel. 800; (0 0 3), 36.84 deg, rel. 204; (1 1 0), 42.38 deg, rel. 929; (0 1 3), 44.50 deg, rel. 450; (0 2 1), 50.99 deg, rel. 169; (0 2 2), 55.74 deg, rel. 195; (1 1 3), 57.38 deg, rel. 326; (2 1 2), 72.44 deg, rel. 176; (1 2 3), 79.01 deg, rel. 158

Record 5
Ta2As: theoretical powder diffractogram (Cu Ka), based on a DFT-relaxed cell (PBE, the Materials Project).

Atomic structure:
abc: 11.9379 14.9505 3.4925
angles: 90.00 90.00 90.00
Space group Pnnm (No. 58)
One atom of each set of equivalent atoms:
Ta  0.0287  0.1094  0.0000
Ta  0.0794  0.7437  0.5000
Ta  0.0849  0.5797  0.0000
Ta  0.1153  0.4277  0.5000
Ta  0.1412  0.9778  0.5000
Ta  0.1957  0.2025  0.5000
As  0.0803  0.2959  0.0000
As  0.1876  0.8491  0.0000
As  0.2457  0.5809  0.5000

Main lines, in order of rising 2θ (15 to 90 degrees two-theta):
(3 0 1), 34.16 deg, rel. 384; (3 1 1), 34.71 deg, rel. 214; (1 4 1), 36.00 deg, rel. 750; (3 5 0), 37.63 deg, rel. 318; (5 1 0), 38.17 deg, rel. 220; (2 4 1), 38.36 deg, rel. 1000; (3 3 1), 38.77 deg, rel. 727; (0 5 1), 39.66 deg, rel. 500; (4 2 1), 41.60 deg, rel. 282; (0 0 2), 52.40 deg, rel. 415

Record 6
TbAs3: theoretical powder diffractogram (Cu Ka), based on a DFT-relaxed cell (PBE, the Materials Project).

Atomic structure:
abc: 6.0150 6.0150 5.5836
angles: 90.00 90.00 120.00
Space group P6_3/mmc (No. 194)
One atom of each set of equivalent atoms:
Tb  0.3333  0.6667  0.2500
As  0.1855  0.3711  0.7500

Main lines, in order of rising 2θ (15 to 90 degrees two-theta):
(1 0 0), 17.02 deg, rel. 177; (0 0 2), 32.06 deg, rel. 382; (2 0 0), 34.43 deg, rel. 223; (2 0 1), 38.13 deg, rel. 1000; (2 0 2), 47.76 deg, rel. 177; (2 1 1), 49.06 deg, rel. 109; (2 0 3), 61.21 deg, rel. 247; (2 2 0), 61.68 deg, rel. 141; (2 2 2), 71.23 deg, rel. 184; (4 0 1), 74.86 deg, rel. 129

Record 7
TbAs3: theoretical powder diffractogram (Cu Ka), based on a DFT-relaxed cell (PBE, the Materials Project).

Atomic structure:
abc: 4.3774 4.3774 4.3774
angles: 90.00 90.00 90.00
Space group Pm-3m (No. 221)
One atom of each set of equivalent atoms:
Tb  0.0000  0.0000  0.0000
As  0.0000  0.5000  0.5000

Main lines, in order of rising 2θ (15 to 90 degrees two-theta):
(1 0 0), 20.29 deg, rel. 126; (1 1 0), 28.84 deg, rel. 108; (1 1 1), 35.52 deg, rel. 1000; (2 0 0), 41.25 deg, rel. 494; (2 1 0), 46.38 deg, rel. 61; (2 1 1), 51.11 deg, rel. 46; (2 2 0), 59.75 deg, rel. 328; (3 1 1), 71.48 deg, rel. 384; (2 2 2), 75.19 deg, rel. 111; (4 0 0), 89.57 deg, rel. 55

Record 8
Tc3As: theoretical powder diffractogram (Cu Ka), based on a DFT-relaxed cell (PBE, the Materials Project).

Atomic structure:
abc: 3.7568 3.7568 8.2866
angles: 90.00 90.00 90.00
Space group I4/mmm (No. 139)
One atom of each set of equivalent atoms:
Tc  0.0000  0.0000  0.0000
Tc  0.0000  0.5000  0.2500
As  0.0000  0.0000  0.5000

Main lines, in order of rising 2θ (15 to 90 degrees two-theta):
(0 0 2), 21.45 deg, rel. 5; (1 0 1), 26.04 deg, rel. 13; (1 1 2), 40.33 deg, rel. 1000; (0 0 4), 43.69 deg, rel. 198; (2 0 0), 48.46 deg, rel. 292; (2 0 4), 67.28 deg, rel. 212; (2 2 0), 70.96 deg, rel. 90; (1 1 6), 77.97 deg, rel. 138; (3 1 2), 84.92 deg, rel. 224; (2 2 4), 87.18 deg, rel. 106

Record 9
TcAs3: theoretical powder diffractogram (Cu Ka), based on a DFT-relaxed cell (PBE, the Materials Project).

Atomic structure:
abc: 6.4329 6.4329 6.4329
angles: 90.00 90.00 90.00
Space group Fm-3m (No. 225)
One atom of each set of equivalent atoms:
Tc  0.0000  0.0000  0.0000
As  0.0000  0.0000  0.5000
As  0.2500  0.2500  0.2500

Main lines, in order of rising 2θ (15 to 90 degrees two-theta):
(1 1 1), 23.96 deg, rel. 13; (2 0 0), 27.74 deg, rel. 7; (2 2 0), 39.63 deg, rel. 1000; (3 1 1), 46.84 deg, rel. 6; (4 0 0), 57.29 deg, rel. 167; (4 2 2), 71.90 deg, rel. 335; (4 4 0), 85.36 deg, rel. 107

Record 10
TcAs3: theoretical powder diffractogram (Cu Ka), based on a DFT-relaxed cell (PBE, the Materials Project).

Atomic structure:
abc: 4.4006 4.4006 6.8554
angles: 90.00 90.00 90.00
Space group I4/mmm (No. 139)
One atom of each set of equivalent atoms:
Tc  0.0000  0.0000  0.0000
As  0.0000  0.0000  0.5000
As  0.0000  0.5000  0.2500

Main lines, in order of rising 2θ (15 to 90 degrees two-theta):
(1 0 1), 24.03 deg, rel. 18; (1 1 0), 28.69 deg, rel. 6; (1 1 2), 39.10 deg, rel. 1000; (2 0 0), 41.02 deg, rel. 436; (0 0 4), 53.46 deg, rel. 99; (2 2 0), 59.40 deg, rel. 143; (2 0 4), 69.52 deg, rel. 178; (3 1 2), 73.44 deg, rel. 303; (2 2 4), 84.01 deg, rel. 107; (4 0 0), 88.97 deg, rel. 47

Record 11
Te3As2: theoretical powder diffractogram (Cu Ka), based on a DFT-relaxed cell (PBE, the Materials Project).

Atomic structure:
abc: 7.0665 16.3533 10.7969
angles: 90.00 102.22 90.00
Space group P2_1/m (No. 11)
One atom of each set of equivalent atoms:
Te  0.0000  0.0000  0.0000
Te  0.0102  0.2500  0.0062
Te  0.2140  0.7500  0.6694
Te  0.2260  0.5014  0.6715
Te  0.2367  0.2500  0.6662
Te  0.2621  0.6232  0.3358
Te  0.2818  0.1249  0.3296
Te  0.4929  0.6256  0.9942
As  0.1031  0.6291  0.8275
As  0.1107  0.1213  0.8167
As  0.3801  0.7500  0.2027
As  0.3970  0.0086  0.1703
As  0.3971  0.2500  0.1778

Main lines, in order of rising 2θ (15 to 90 degrees two-theta):
(0 0 3), 25.32 deg, rel. 124; (1 4 1), 27.58 deg, rel. 117; (1 4 -2), 28.92 deg, rel. 1000; (1 4 -3), 34.04 deg, rel. 140; (1 4 3), 38.08 deg, rel. 125; (0 8 0), 44.36 deg, rel. 393; (1 4 4), 45.13 deg, rel. 190; (0 0 6), 51.98 deg, rel. 110; (2 8 1), 53.74 deg, rel. 110; (1 12 -2), 72.18 deg, rel. 87

Record 12
Te3As2: theoretical powder diffractogram (Cu Ka), based on a DFT-relaxed cell (PBE, the Materials Project).

Atomic structure:
abc: 4.0895 4.0895 30.3062
angles: 90.00 90.00 120.00
Space group R-3m (No. 166, hexagonal axes)
One atom of each set of equivalent atoms:
Te  0.0000  0.0000  0.0000
Te  0.0000  0.0000  0.2186
As  0.0000  0.0000  0.3951

Main lines, in order of rising 2θ (15 to 90 degrees two-theta):
(0 0 9), 26.47 deg, rel. 89; (1 0 4), 27.81 deg, rel. 128; (0 1 5), 29.20 deg, rel. 1000; (0 1 8), 34.67 deg, rel. 112; (1 0 10), 39.12 deg, rel. 263; (1 1 0), 44.30 deg, rel. 375; (1 0 13), 46.64 deg, rel. 151; (2 0 5), 53.94 deg, rel. 176; (1 2 5), 72.28 deg, rel. 145; (1 1 18), 72.76 deg, rel. 134